This entry pairs a crystal structure of K4Mn3ClF12 with its theoretical powder XRD pattern. Radiation: Cu Kα (weighted mean of Kα1 and Kα2). Structure: DFT lattice parameters and positions (GGA+U).
Kinematic intensities with the Lorentz-polarization factor, no thermal factor.

Crystal structure
Cell lengths 8.7086, 8.7086, 8.7086 Å; angles 90.00, 90.00, 90.00 degrees
Space group Im-3m (No. 229)
One atom of each set of equivalent atoms:
1 K 0.2500 0.2500 0.2500
2 Mn 0.0000 0.0000 0.5000
3 Cl 0.0000 0.0000 0.0000
4 F 0.0000 0.0000 0.2881
5 F 0.0000 0.2500 0.5000

Largest 12 diffraction maxima, in order of rising 2θ, 10° ≤ 2θ ≤ 80°:
- (1 1 0), d = 6.158 Å, intensity 9
- (2 0 0), d = 4.354 Å, intensity 23
- (2 1 1), d = 3.555 Å, intensity 4
- (2 2 0), d = 3.079 Å, intensity 100
- (2 2 2), d = 2.514 Å, intensity 14
- (4 0 0), d = 2.177 Å, intensity 68
- (4 2 0), d = 1.947 Å, intensity 7
- (4 2 2), d = 1.778 Å, intensity 32
- (4 4 0), d = 1.539 Å, intensity 36
- (6 0 0), d = 1.451 Å, intensity 3
- (6 2 0), d = 1.377 Å, intensity 17
- (4 4 4), d = 1.257 Å, intensity 10